Entry 1:
Mg5Si2N6: theoretical X-ray powder pattern (Cu Kα X-rays), based on the PBE geometry in the Materials Project.
Neutral-atom scattering factors, no anomalous dispersion.

Cell and atoms:
```
26
Lattice="4.705 -2.653 0.000 4.705 2.653 0.000 -1.003 0.000 12.068" Properties=species:S:1:pos:R:3 pbc="T T T"
Mg 3.953 2.069 9.051
Mg 2.818 1.294 11.791
Mg 3.053 0.407 3.395
Mg 5.088 1.294 6.311
Mg 2.551 -0.407 9.429
Mg 5.856 0.407 2.639
Mg 3.319 -1.294 5.757
Mg 5.355 -0.407 8.673
Mg 5.590 -1.294 0.277
Mg 4.454 -2.069 3.017
Si 2.107 0.768 7.066
Si 2.608 -0.768 1.032
Si 5.799 0.768 11.036
Si 6.301 -0.768 5.002
N 0.902 0.223 8.172
N 1.722 0.140 5.427
N 1.404 -0.223 2.138
N 1.220 -0.140 11.461
N 3.682 0.342 7.597
N 4.225 0.342 10.505
N 4.183 -0.342 1.563
N 4.726 -0.342 4.471
N 7.187 0.140 0.607
N 7.004 0.223 9.931
N 6.686 -0.140 6.641
N 7.505 -0.223 3.897
```

Most intense lines, 10° ≤ 2θ ≤ 80°, low angle first:
d/Å, Rel. int.
4.689, 35
4.373, 61
2.974, 71
2.590, 100
2.429, 46
2.316, 89
2.215, 74
1.871, 41
1.781, 35
1.544, 43

Entry 2:
MgSi7N10: theoretical X-ray powder pattern (Cu Kα X-rays), based on the PBE geometry in the Materials Project.
Neutral-atom scattering factors, no anomalous dispersion.

Cell and atoms:
```
36
Lattice="6.732 0.000 0.000 0.000 6.886 0.000 -2.539 0.000 9.379" Properties=species:S:1:pos:R:3 pbc="T T T"
Mg 0.000 0.473 0.000
Mg -1.270 6.413 4.690
Si -1.451 2.742 8.217
Si -0.182 4.144 3.528
Si 1.567 2.624 1.744
Si 0.297 4.262 6.434
Si 0.293 0.153 7.711
Si 1.563 6.733 3.021
Si 2.044 2.533 4.594
Si 0.775 4.353 9.283
Si 3.352 0.145 1.192
Si 2.082 6.742 5.881
Si 2.465 2.485 7.464
Si 3.735 4.401 2.775
Si 5.423 2.634 1.055
Si 4.153 4.252 5.744
N -0.060 2.958 2.238
N -1.330 3.928 6.928
N -1.094 1.092 7.906
N 0.175 5.794 3.216
N 1.910 3.398 0.245
N 0.641 3.488 4.935
N 1.697 0.890 1.559
N 0.427 5.997 6.248
N 1.811 0.830 4.447
N 0.541 6.056 9.136
N 2.567 3.159 3.056
N 1.297 3.727 7.745
N 1.820 0.914 7.263
N 3.090 5.972 2.574
N 3.148 2.853 5.896
N 4.418 4.033 1.206
N 4.782 1.050 1.083
N 3.513 5.836 5.772
N 3.612 2.609 8.783
N 4.882 4.277 4.094
```

Most intense lines, 10° ≤ 2θ ≤ 80°, low angle first:
d/Å, Rel. int.
6.886, 36
6.498, 69
5.551, 63
4.585, 100
3.443, 41
3.015, 52
3.004, 34
2.847, 44
2.806, 33
2.404, 49

Entry 3:
Mg2SnN2: theoretical X-ray powder pattern (Cu Kα X-rays), based on the PBE geometry in the Materials Project.
Neutral-atom scattering factors, no anomalous dispersion.

Cell and atoms:
```
10
Lattice="5.137 -2.118 0.000 5.137 2.118 0.000 -2.039 0.000 6.404" Properties=species:S:1:pos:R:3 pbc="T T T"
Mg -0.415 0.000 1.328
Mg 1.498 0.005 6.141
Mg 6.738 0.005 0.263
Mg 8.650 0.000 5.076
Sn 2.480 0.110 2.702
Sn 5.756 0.110 3.702
N 1.543 -0.004 0.572
N 4.455 -0.009 1.747
N 3.781 -0.009 4.656
N 6.693 -0.004 5.832
```

Most intense lines, 10° ≤ 2θ ≤ 80°, low angle first:
d/Å, Rel. int.
6.404, 59
3.888, 25
3.516, 85
3.420, 26
2.630, 100
2.585, 73
2.370, 50
2.312, 44
2.118, 38
1.579, 27

Entry 4:
MgSn2N2: theoretical X-ray powder pattern (Cu Kα X-rays), based on the PBE geometry in the Materials Project.
Neutral-atom scattering factors, no anomalous dispersion.

Cell and atoms:
```
5
Lattice="3.361 0.000 0.000 0.000 3.361 0.000 0.000 0.000 8.188" Properties=species:S:1:pos:R:3 pbc="T T T"
Mg 0.000 0.000 0.000
Sn 1.680 1.680 2.521
Sn 1.680 1.680 5.667
N 0.000 1.680 6.938
N 1.680 0.000 1.250
```

Most intense lines, 10° ≤ 2θ ≤ 80°, low angle first:
d/Å, Rel. int.
4.094, 47
3.361, 100
3.109, 46
2.729, 29
2.598, 95
2.376, 50
2.119, 44
1.792, 51
1.472, 27
1.411, 30

Entry 5:
MgTaN2: theoretical X-ray powder pattern (Cu Kα X-rays), based on the PBE geometry in the Materials Project.
Neutral-atom scattering factors, no anomalous dispersion.

Cell and atoms:
```
8
Lattice="-2.159 2.159 4.445 2.159 -2.159 4.445 2.159 2.159 -4.445" Properties=species:S:1:pos:R:3 pbc="T T T"
Mg 2.159 1.080 1.111
Mg 0.000 1.080 3.333
Ta 2.159 -1.080 3.333
Ta 0.000 3.239 1.111
N 2.159 1.080 -1.093
N 0.000 1.080 1.129
N 2.159 1.080 3.316
N 0.000 1.080 5.538
```

Most intense lines, 10° ≤ 2θ ≤ 80°, low angle first:
d/Å, Rel. int.
3.884, 100
2.517, 89
2.443, 31
2.222, 26
2.159, 48
1.887, 29
1.618, 18
1.549, 32
1.305, 25
1.258, 16

Entry 6:
Mg2Ta3N5: theoretical X-ray powder pattern (Cu Kα X-rays), based on the PBE geometry in the Materials Project.
Neutral-atom scattering factors, no anomalous dispersion.

Cell and atoms:
```
20
Lattice="2.680 -7.749 0.000 2.680 7.749 0.000 -1.744 0.000 5.025" Properties=species:S:1:pos:R:3 pbc="T T T"
Mg 1.372 6.958 3.769
Mg 1.372 3.898 3.769
Mg 2.244 -3.898 1.256
Mg 2.244 -6.958 1.256
Ta 2.244 5.466 1.256
Ta 2.244 2.314 1.256
Ta 1.372 0.717 3.769
Ta 2.244 -0.717 1.256
Ta 1.372 -2.314 3.769
Ta 1.372 -5.466 3.769
N 1.340 3.875 0.000
N 0.493 2.328 2.514
N 1.281 0.763 0.009
N 0.409 -0.763 2.521
N 1.365 -2.328 0.002
N 0.468 -3.875 2.512
N 2.250 2.328 5.023
N 3.207 0.763 2.503
N 2.334 -0.763 5.016
N 3.122 -2.328 2.511
```

Most intense lines, 10° ≤ 2θ ≤ 80°, low angle first:
d/Å, Rel. int.
4.813, 36
4.188, 52
2.531, 49
2.524, 96
2.512, 48
2.190, 100
2.175, 55
1.548, 49
1.539, 34
1.322, 27

Entry 7:
MgTaN2: theoretical X-ray powder pattern (Cu Kα X-rays), based on the PBE geometry in the Materials Project.
Neutral-atom scattering factors, no anomalous dispersion.

Cell and atoms:
```
4
Lattice="3.104 0.000 0.000 0.000 3.104 0.000 0.000 0.000 4.293" Properties=species:S:1:pos:R:3 pbc="T T T"
Mg 0.000 0.000 0.000
Ta 1.552 1.552 2.147
N 0.000 0.000 2.147
N 1.552 1.552 0.000
```

Most intense lines, 10° ≤ 2θ ≤ 80°, low angle first:
d/Å, Rel. int.
4.293, 72
3.104, 65
2.515, 100
2.195, 57
2.147, 27
1.954, 36
1.765, 26
1.552, 18
1.535, 35
1.321, 29

Entry 8:
MgTeN2: theoretical X-ray powder pattern (Cu Kα X-rays), based on the PBE geometry in the Materials Project.
Neutral-atom scattering factors, no anomalous dispersion.

Cell and atoms:
```
16
Lattice="6.387 0.000 0.000 0.000 7.636 0.000 0.000 0.000 5.496" Properties=species:S:1:pos:R:3 pbc="T T T"
Mg 0.245 0.971 0.000
Mg 2.948 4.789 2.748
Mg 3.438 2.847 0.000
Mg 6.142 6.665 2.748
Te 0.912 4.963 0.138
Te 2.281 1.145 2.886
Te 4.105 6.491 0.138
Te 5.475 2.673 2.886
N 0.258 1.082 2.132
N 1.257 5.555 1.919
N 1.936 1.738 4.667
N 2.935 4.900 4.880
N 3.452 2.736 2.132
N 4.450 5.898 1.919
N 5.130 2.080 4.667
N 6.128 6.554 4.880
```

Most intense lines, 10° ≤ 2θ ≤ 80°, low angle first:
d/Å, Rel. int.
4.461, 100
3.657, 51
3.277, 76
2.946, 44
2.815, 72
2.761, 67
2.748, 42
2.172, 33
2.106, 36
1.569, 31

Entry 9:
MgTiN2: theoretical X-ray powder pattern (Cu Kα X-rays), based on the PBE geometry in the Materials Project.
Neutral-atom scattering factors, no anomalous dispersion.

Cell and atoms:
```
16
Lattice="6.124 0.000 0.000 0.000 4.283 0.000 0.000 0.000 7.121" Properties=species:S:1:pos:R:3 pbc="T T T"
Mg 0.514 1.071 0.854
Mg 2.548 3.212 4.414
Mg 3.576 1.071 2.707
Mg 5.610 3.212 6.267
Ti 0.471 1.071 4.472
Ti 2.591 3.212 0.912
Ti 3.534 1.071 6.209
Ti 5.653 3.212 2.648
N 0.437 3.212 4.357
N 0.594 3.212 0.997
N 2.468 1.071 4.557
N 2.625 1.071 0.796
N 3.499 3.212 6.324
N 3.656 3.212 2.563
N 5.531 1.071 6.124
N 5.688 1.071 2.764
```

Most intense lines, 10° ≤ 2θ ≤ 80°, low angle first:
d/Å, Rel. int.
4.643, 29
3.078, 100
3.062, 58
2.500, 78
2.491, 33
2.142, 69
1.780, 34
1.771, 68
1.757, 50
1.365, 50

Entry 10:
Mg2TiN2: theoretical X-ray powder pattern (Cu Kα X-rays), based on the PBE geometry in the Materials Project.
Neutral-atom scattering factors, no anomalous dispersion.

Cell and atoms:
```
10
Lattice="4.959 -2.211 0.000 4.959 2.211 0.000 -2.270 0.000 5.761" Properties=species:S:1:pos:R:3 pbc="T T T"
Mg -0.463 0.000 1.360
Mg 1.228 0.000 5.262
Mg 6.420 0.000 0.499
Mg 8.111 0.000 4.401
Ti 2.541 0.000 2.233
Ti 5.107 0.000 3.528
N 1.512 0.000 0.617
N 4.338 0.000 1.560
N 3.310 0.000 4.201
N 6.136 0.000 5.143
```

Most intense lines, 10° ≤ 2θ ≤ 80°, low angle first:
d/Å, Rel. int.
3.987, 34
3.552, 89
2.533, 89
2.525, 97
2.247, 86
2.211, 100
2.119, 83
1.576, 49
1.530, 52
1.263, 26

Entry 11:
Mg4TiN4: theoretical X-ray powder pattern (Cu Kα X-rays), based on the PBE geometry in the Materials Project.
Neutral-atom scattering factors, no anomalous dispersion.

Cell and atoms:
```
18
Lattice="5.465 0.000 0.000 1.971 5.116 0.000 0.922 2.577 7.819" Properties=species:S:1:pos:R:3 pbc="T T T"
Mg 2.153 2.419 2.315
Mg 3.241 5.222 7.237
Mg 3.332 5.232 0.680
Mg 3.314 5.083 3.932
Mg 5.044 2.611 3.888
Mg 5.025 2.462 7.139
Mg 5.117 2.471 0.582
Mg 6.205 5.274 5.504
Ti 2.099 2.430 5.711
Ti 6.259 5.263 2.108
N 2.479 6.474 5.441
N 1.476 3.848 6.873
N 2.976 2.992 4.122
N 5.110 6.435 6.973
N 3.248 1.258 0.847
N 5.382 4.701 3.698
N 6.882 3.845 0.946
N 5.879 1.219 2.379
```

Most intense lines, 10° ≤ 2θ ≤ 80°, low angle first:
d/Å, Rel. int.
4.859, 24
2.577, 28
2.561, 100
2.549, 52
2.256, 78
2.208, 74
2.194, 75
1.578, 69
1.568, 29
1.549, 29

Entry 12:
MgTiN2: theoretical X-ray powder pattern (Cu Kα X-rays), based on the PBE geometry in the Materials Project.
Neutral-atom scattering factors, no anomalous dispersion.

Cell and atoms:
```
4
Lattice="1.515 0.875 5.012 -1.515 0.875 5.012 0.000 -1.749 5.012" Properties=species:S:1:pos:R:3 pbc="T T T"
Mg 0.000 0.000 0.000
Ti 0.000 0.000 7.518
N 0.000 0.000 3.656
N 0.000 0.000 11.380
```

Most intense lines, 10° ≤ 2θ ≤ 80°, low angle first:
d/Å, Rel. int.
5.012, 24
2.585, 8
2.506, 12
2.477, 35
2.152, 100
1.528, 28
1.515, 28
1.305, 5
1.296, 10
1.239, 13